No. 1
# Eu5Mg
Computed powder diffraction line list, Cu Kα (weighted mean of Kα1 and Kα2). Input: a structure optimized by DFT (PBE).
Lines closer than 0.1° are merged.

Structure:
a = 6.6135 Å, b = 6.6135 Å, c = 6.1339 Å
α = 90.00°, β = 90.00°, γ = 120.00°
Positions (direct):
Eu 0.0000 0.6782 0.0000
Eu 0.3218 0.3218 0.0000
Eu 0.3333 0.6667 0.5000
Eu 0.6667 0.3333 0.5000
Eu 0.6782 0.0000 0.0000
Mg 0.0000 0.0000 0.5000

Main lines, by angle (2θ from 5° to 70°):
two_theta	I/Imax
15.47	6
21.22	11
26.96	25
29.12	25
30.72	100
40.10	17
47.63	19
52.63	22
56.80	23
57.75	16

***

No. 2
# Na2Eu2MgTi3O10
Computed powder diffraction line list, Cu Kα (weighted mean of Kα1 and Kα2). Input: a structure optimized by DFT (PBE).
Lines closer than 0.1° are merged.

Structure:
a = 16.0891 Å, b = 16.0891 Å, c = 16.0891 Å
α = 166.08°, β = 166.08°, γ = 19.73°
Positions (direct):
Na 0.2145 0.2145 0.0000
Na 0.7855 0.7855 0.0000
Eu 0.0963 0.0963 0.0000
Eu 0.9037 0.9037 0.0000
Mg 0.0000 0.0000 0.0000
Ti 0.3425 0.3425 0.0000
Ti 0.5000 0.5000 0.0000
Ti 0.6575 0.6575 0.0000
O 0.0000 0.5000 0.5000
O 0.1435 0.6435 0.5000
O 0.2874 0.2874 0.0000
O 0.3565 0.8565 0.5000
O 0.4370 0.4370 0.0000
O 0.5000 0.0000 0.5000
O 0.5630 0.5630 0.0000
O 0.6435 0.1435 0.5000
O 0.7126 0.7126 0.0000
O 0.8565 0.3565 0.5000

Main lines, by angle (2θ from 5° to 70°):
two_theta	I/Imax
5.58	97
11.16	68
22.98	29
26.84	100
30.25	35
32.48	71
34.31	50
43.50	31
46.59	48
54.58	33

***

No. 3
# EuMgNi
Computed powder diffraction line list, Cu Kα (weighted mean of Kα1 and Kα2). Input: a structure optimized by DFT (PBE).
Lines closer than 0.1° are merged.

Structure:
a = 6.8035 Å, b = 6.8035 Å, c = 6.8035 Å
α = 90.00°, β = 90.00°, γ = 90.00°
Positions (direct):
Eu 0.1794 0.3206 0.6794
Eu 0.3206 0.6794 0.1794
Eu 0.6794 0.1794 0.3206
Eu 0.8206 0.8206 0.8206
Mg 0.1543 0.1543 0.1543
Mg 0.3457 0.8457 0.6543
Mg 0.6543 0.3457 0.8457
Mg 0.8457 0.6543 0.3457
Ni 0.0454 0.9546 0.4546
Ni 0.4546 0.0454 0.9546
Ni 0.5454 0.5454 0.5454
Ni 0.9546 0.4546 0.0454

Main lines, by angle (2θ from 5° to 70°):
two_theta	I/Imax
22.64	78
29.35	100
32.23	57
37.39	34
39.75	33
41.99	41
44.15	22
50.17	46
55.71	36
62.57	18

***

No. 4
# EuMgO3
Computed powder diffraction line list, Cu Kα (weighted mean of Kα1 and Kα2). Input: a structure optimized by DFT (PBE).
Lines closer than 0.1° are merged.

Structure:
a = 3.9227 Å, b = 3.9227 Å, c = 3.9227 Å
α = 90.00°, β = 90.00°, γ = 90.00°
Positions (direct):
Eu 0.0000 0.0000 0.0000
Mg 0.5000 0.5000 0.5000
O 0.0000 0.5000 0.5000
O 0.5000 0.0000 0.5000
O 0.5000 0.5000 0.0000

Main lines, by angle (2θ from 5° to 70°):
two_theta	I/Imax
22.67	53
32.27	100
39.80	44
46.29	35
52.14	25
57.55	40
67.54	21

***

No. 5
# Eu2MgPtO6
Computed powder diffraction line list, Cu Kα (weighted mean of Kα1 and Kα2). Input: a structure optimized by DFT (PBE).
Lines closer than 0.1° are merged.

Structure:
a = 5.5427 Å, b = 5.7061 Å, c = 9.6472 Å
α = 90.00°, β = 125.05°, γ = 90.00°
Positions (direct):
Eu 0.2398 0.0561 0.2525
Eu 0.2398 0.4439 0.7525
Eu 0.7602 0.5561 0.2475
Eu 0.7602 0.9439 0.7475
Mg 0.5000 0.0000 0.0000
Mg 0.5000 0.5000 0.5000
Pt 0.0000 0.0000 0.5000
Pt 0.0000 0.5000 0.0000
O 0.1414 0.2066 0.9480
O 0.1414 0.2934 0.4480
O 0.2507 0.6966 0.9530
O 0.2507 0.8034 0.4530
O 0.3436 0.0326 0.7472
O 0.3436 0.4674 0.2472
O 0.6564 0.5326 0.7528
O 0.6564 0.9674 0.2528
O 0.7493 0.1966 0.5470
O 0.7493 0.3034 0.0470
O 0.8586 0.7066 0.5520
O 0.8586 0.7934 0.0520

Main lines, by angle (2θ from 5° to 70°):
two_theta	I/Imax
19.19	23
19.57	20
31.35	21
31.94	100
32.30	25
37.84	15
45.64	21
45.96	14
56.18	12
57.33	23

***

No. 6
# Eu2MgSi2O7
Computed powder diffraction line list, Cu Kα (weighted mean of Kα1 and Kα2). Input: a structure optimized by DFT (PBE).
Lines closer than 0.1° are merged.

Structure:
a = 8.0641 Å, b = 8.0641 Å, c = 5.2182 Å
α = 90.00°, β = 90.00°, γ = 90.00°
Positions (direct):
Eu 0.1655 0.3345 0.0091
Eu 0.3345 0.8345 0.9909
Eu 0.6655 0.1655 0.9909
Eu 0.8345 0.6655 0.0091
Mg 0.0000 0.0000 0.5000
Mg 0.5000 0.5000 0.5000
Si 0.1394 0.6394 0.5584
Si 0.3606 0.1394 0.4416
Si 0.6394 0.8606 0.4416
Si 0.8606 0.3606 0.5584
O 0.0000 0.5000 0.6651
O 0.0795 0.8109 0.7018
O 0.1419 0.6419 0.2477
O 0.1891 0.0795 0.2982
O 0.3109 0.5795 0.7018
O 0.3581 0.1419 0.7523
O 0.4205 0.3109 0.2982
O 0.5000 0.0000 0.3349
O 0.5795 0.6891 0.2982
O 0.6419 0.8581 0.7523
O 0.6891 0.4205 0.7018
O 0.8109 0.9205 0.2982
O 0.8581 0.3581 0.2477
O 0.9205 0.1891 0.7018

Main lines, by angle (2θ from 5° to 70°):
two_theta	I/Imax
16.99	22
24.69	21
27.96	24
30.12	100
35.19	16
42.78	28
49.79	17
50.01	15
58.98	18
64.77	12

***

> Which formula does entry 1 have?

Eu5Mg